# CeAsPd6
Calculated powder XRD pattern, Cu Kα. Input: a DFT-relaxed cell (GGA-PBE, Alexandria).
Kinematic intensities with the Lorentz-polarization factor, no thermal factor.

Peak list (10 most intense, 2θ = 15–90°, in order of rising 2θ)
Position (°2θ), intensity
28.5, 30
30.0, 47
36.9, 72
41.0, 100
42.6, 17
47.0, 20
51.1, 16
54.8, 30
73.5, 13
73.9, 16

Structural model:
abc: 5.3667 5.3667 5.3667
angles: 92.10 92.10 92.10
Positions (direct):
Ce: 0.0000 0.0000 0.0000
As: 0.5000 0.5000 0.5000
Pd: 0.1804 0.1804 0.5586
Pd: 0.1804 0.5586 0.1804
Pd: 0.4414 0.8196 0.8196
Pd: 0.5586 0.1804 0.1804
Pd: 0.8196 0.4414 0.8196
Pd: 0.8196 0.8196 0.4414